Simulated XRD peak list
Compound: La2HoH
Radiation: copper Kα
Structure: a cell relaxed with GGA-PBE
Lines closer than 0.1° are merged.

Largest 6 diffraction maxima, by angle, 2θ = 10–90°:
d [Å], Rel. int.
3.188, 38
2.994, 47
2.898, 100
2.758, 80
1.854, 36
1.576, 42

Cell lengths 9.233, 9.233, 9.233 Å; angles 23.17, 23.17, 23.17 degrees
Element x y z (fractional)
1 La 0.224 0.224 0.224
2 La 0.776 0.776 0.776
3 Ho 0.000 0.000 0.000
4 H 0.500 0.500 0.500